Simulated XRD peak list
Compound: MgFe6O11F
Radiation: Cu Kα X-rays
Structure: a crystal structure in the Materials Project, relaxed with GGA+U
Kinematic intensities with the Lorentz-polarization factor, no thermal factor.

Structural model:
Lattice parameters (Å, degrees): 5.6645 5.8837 7.5252 106.77 98.38 112.60
Space group P1 (No. 1)
One atom of each set of equivalent atoms:
Mg 0.0000 0.0000 0.0000 (multiplicity 1)
Fe 0.3458 0.5369 0.3418 (multiplicity 1)
Fe 0.3733 0.9346 0.7765 (multiplicity 1)
Fe 0.6335 0.0934 0.2127 (multiplicity 1)
Fe 0.6695 0.4945 0.6551 (multiplicity 1)
Fe 0.9941 0.5032 0.9838 (multiplicity 1)
Fe 0.9971 0.0725 0.5321 (multiplicity 1)
O 0.0307 0.1869 0.3047 (multiplicity 1)
O 0.0930 0.6443 0.2536 (multiplicity 1)
O 0.2861 0.8612 0.0083 (multiplicity 1)
O 0.3738 0.1698 0.6363 (multiplicity 1)
O 0.4308 0.6532 0.6226 (multiplicity 1)
O 0.5846 0.3724 0.3767 (multiplicity 1)
O 0.6366 0.8623 0.3553 (multiplicity 1)
O 0.7289 0.1512 0.9739 (multiplicity 1)
O 0.7399 0.6274 0.9270 (multiplicity 1)
O 0.9206 0.3490 0.7027 (multiplicity 1)
O 0.9775 0.8434 0.6893 (multiplicity 1)
F 0.2714 0.3518 0.0342 (multiplicity 1)

Peak list (8 most intense, 10° ≤ 2θ ≤ 90°, most intense first)
- 2θ 23.48, intensity 100, (-1 1 1)
- 2θ 27.88, intensity 91, (1 1 -1)
- 2θ 35.65, intensity 68, (1 0 2)
- 2θ 63.94, intensity 28, (2 -2 4)
- 2θ 36.34, intensity 26, (0 1 -3)
- 2θ 36.00, intensity 25, (2 -1 1)
- 2θ 55.50, intensity 18, (1 2 -4)
- 2θ 50.77, intensity 18, (1 0 -4)

Simulated XRD peak list
Compound: MgFe6O6F6
Radiation: Cu Kα X-rays
Structure: a crystal structure in the Materials Project, relaxed with GGA+U
Kinematic intensities with the Lorentz-polarization factor, no thermal factor.

Structural model:
Lattice parameters (Å, degrees): 3.0980 5.2705 14.6318 87.13 88.30 89.55
Space group P1 (No. 1)
One atom of each set of equivalent atoms:
Mg 0.0000 0.0000 0.0000 (multiplicity 1)
Fe 0.1350 0.0214 0.8097 (multiplicity 1)
Fe 0.1541 0.0552 0.5086 (multiplicity 1)
Fe 0.2008 0.0375 0.2131 (multiplicity 1)
Fe 0.5907 0.5067 0.9311 (multiplicity 1)
Fe 0.6406 0.4726 0.6582 (multiplicity 1)
Fe 0.6708 0.5097 0.3143 (multiplicity 1)
O 0.1002 0.7451 0.9052 (multiplicity 1)
O 0.1341 0.3347 0.7230 (multiplicity 1)
O 0.1716 0.7076 0.2815 (multiplicity 1)
O 0.6211 0.1552 0.8831 (multiplicity 1)
O 0.6467 0.2146 0.5649 (multiplicity 1)
O 0.7000 0.2546 0.2318 (multiplicity 1)
F 0.0660 0.3512 0.0251 (multiplicity 1)
F 0.1458 0.7031 0.5914 (multiplicity 1)
F 0.1659 0.3266 0.4034 (multiplicity 1)
F 0.4952 0.9063 0.0785 (multiplicity 1)
F 0.6337 0.8346 0.7383 (multiplicity 1)
F 0.6617 0.8788 0.4456 (multiplicity 1)

Peak list (8 most intense, 10° ≤ 2θ ≤ 90°, most intense first)
- 2θ 25.53, intensity 100, (0 1 -3)
- 2θ 24.27, intensity 96, (0 1 3)
- 2θ 33.48, intensity 42, (1 1 0)
- 2θ 18.22, intensity 37, (0 0 3)
- 2θ 33.68, intensity 37, (1 -1 0)
- 2θ 37.52, intensity 32, (1 1 3)
- 2θ 29.06, intensity 31, (0 1 4)
- 2θ 34.07, intensity 29, (0 2 0)

Simulated XRD peak list
Compound: MgFe6O6F6
Radiation: Cu Kα X-rays
Structure: a crystal structure in the Materials Project, relaxed with GGA+U
Kinematic intensities with the Lorentz-polarization factor, no thermal factor.

Structural model:
Lattice parameters (Å, degrees): 3.1356 5.1361 14.7327 92.50 90.76 90.00
Space group P1 (No. 1)
One atom of each set of equivalent atoms:
Mg 0.0000 0.0000 0.0000 (multiplicity 1)
Fe 0.4504 0.4759 0.3534 (multiplicity 1)
Fe 0.4595 0.4937 0.6695 (multiplicity 1)
Fe 0.4970 0.4817 0.9794 (multiplicity 1)
Fe 0.9460 0.0213 0.2854 (multiplicity 1)
Fe 0.9540 0.0382 0.5189 (multiplicity 1)
Fe 0.9743 0.0608 0.8122 (multiplicity 1)
O 0.4441 0.1927 0.2502 (multiplicity 1)
O 0.4577 0.2110 0.5684 (multiplicity 1)
O 0.4861 0.1376 0.9126 (multiplicity 1)
O 0.9472 0.6635 0.3039 (multiplicity 1)
O 0.9525 0.2440 0.4021 (multiplicity 1)
O 0.9643 0.3593 0.7269 (multiplicity 1)
F 0.0011 0.3387 0.0631 (multiplicity 1)
F 0.4533 0.7963 0.4526 (multiplicity 1)
F 0.4684 0.8336 0.7448 (multiplicity 1)
F 0.5067 0.8308 0.0617 (multiplicity 1)
F 0.9576 0.7090 0.5958 (multiplicity 1)
F 0.9918 0.6858 0.9147 (multiplicity 1)

Peak list (8 most intense, 10° ≤ 2θ ≤ 90°, most intense first)
- 2θ 33.49, intensity 100, (1 -1 0)
- 2θ 24.55, intensity 79, (0 1 -3)
- 2θ 18.08, intensity 74, (0 0 3)
- 2θ 25.66, intensity 67, (0 1 3)
- 2θ 12.03, intensity 52, (0 0 2)
- 2θ 29.24, intensity 49, (0 1 -4)
- 2θ 61.79, intensity 41, (1 3 0)
- 2θ 30.51, intensity 37, (0 1 4)

Simulated XRD peak list
Compound: MgFe12O12F12
Radiation: Cu Kα X-rays
Structure: a crystal structure in the Materials Project, relaxed with GGA+U
Kinematic intensities with the Lorentz-polarization factor, no thermal factor.

Structural model:
Lattice parameters (Å, degrees): 9.7158 3.1080 14.5922 90.00 92.41 90.00
Space group Pm (No. 6)
One atom of each set of equivalent atoms:
Mg 0.0000 0.0000 0.0000 (multiplicity 1)
Fe 0.2489 0.0000 0.3157 (multiplicity 1)
Fe 0.2546 0.0000 0.6434 (multiplicity 1)
Fe 0.2801 0.0000 0.8794 (multiplicity 1)
Fe 0.4602 0.5000 0.4833 (multiplicity 1)
Fe 0.4650 0.5000 0.1623 (multiplicity 1)
Fe 0.5036 0.5000 0.7992 (multiplicity 1)
Fe 0.7106 0.0000 0.3116 (multiplicity 1)
Fe 0.7237 0.0000 0.9958 (multiplicity 1)
Fe 0.7343 0.0000 0.6601 (multiplicity 1)
Fe 0.9392 0.5000 0.1748 (multiplicity 1)
Fe 0.9559 0.5000 0.8215 (multiplicity 1)
Fe 0.9785 0.5000 0.4818 (multiplicity 1)
O 0.0884 0.0000 0.8777 (multiplicity 1)
O 0.3142 0.5000 0.2522 (multiplicity 1)
O 0.3390 0.5000 0.5889 (multiplicity 1)
O 0.3799 0.0000 0.4226 (multiplicity 1)
O 0.3802 0.0000 0.7595 (multiplicity 1)
O 0.3796 0.5000 0.9102 (multiplicity 1)
O 0.5629 0.0000 0.2215 (multiplicity 1)
O 0.6348 0.5000 0.7066 (multiplicity 1)
O 0.8135 0.5000 0.2716 (multiplicity 1)
O 0.8669 0.5000 0.9384 (multiplicity 1)
O 0.8689 0.0000 0.1059 (multiplicity 1)
O 0.8826 0.0000 0.7527 (multiplicity 1)
F 0.0616 0.0000 0.2343 (multiplicity 1)
F 0.0863 0.0000 0.5526 (multiplicity 1)
F 0.0887 0.5000 0.0666 (multiplicity 1)
F 0.1344 0.5000 0.3836 (multiplicity 1)
F 0.1490 0.5000 0.7098 (multiplicity 1)
F 0.3756 0.0000 0.0924 (multiplicity 1)
F 0.5844 0.0000 0.5466 (multiplicity 1)
F 0.6083 0.5000 0.0542 (multiplicity 1)
F 0.6087 0.0000 0.8688 (multiplicity 1)
F 0.6224 0.5000 0.3913 (multiplicity 1)
F 0.8273 0.5000 0.5882 (multiplicity 1)
F 0.8631 0.0000 0.4263 (multiplicity 1)

Peak list (8 most intense, 10° ≤ 2θ ≤ 90°, most intense first)
- 2θ 34.25, intensity 100, (2 1 0)
- 2θ 26.49, intensity 90, (2 0 3)
- 2θ 25.38, intensity 65, (2 0 -3)
- 2θ 51.94, intensity 55, (4 1 3)
- 2θ 50.69, intensity 37, (4 1 -3)
- 2θ 64.94, intensity 32, (0 1 9)
- 2θ 39.47, intensity 27, (2 1 3)
- 2θ 59.48, intensity 21, (0 2 0)

Simulated XRD peak list
Compound: MgFe10O16F4
Radiation: Cu Kα X-rays
Structure: a crystal structure in the Materials Project, relaxed with GGA+U
Kinematic intensities with the Lorentz-polarization factor, no thermal factor.

Structural model:
Lattice parameters (Å, degrees): 4.8300 5.6269 12.8931 79.94 87.49 88.84
Space group P1 (No. 1)
One atom of each set of equivalent atoms:
Mg 0.0000 0.0000 0.0000 (multiplicity 1)
Fe 0.2604 0.8080 0.7443 (multiplicity 1)
Fe 0.3231 0.2013 0.5480 (multiplicity 1)
Fe 0.3646 0.5568 0.3427 (multiplicity 1)
Fe 0.4253 0.3101 0.9538 (multiplicity 1)
Fe 0.4281 0.9392 0.1597 (multiplicity 1)
Fe 0.6888 0.7540 0.8961 (multiplicity 1)
Fe 0.8088 0.3084 0.7313 (multiplicity 1)
Fe 0.8535 0.6782 0.5392 (multiplicity 1)
Fe 0.8875 0.4209 0.1549 (multiplicity 1)
Fe 0.8985 0.0443 0.3467 (multiplicity 1)
O 0.0079 0.6196 0.6766 (multiplicity 1)
O 0.0311 0.9932 0.4863 (multiplicity 1)
O 0.0726 0.7915 0.8851 (multiplicity 1)
O 0.0808 0.3442 0.2894 (multiplicity 1)
O 0.1197 0.1243 0.6803 (multiplicity 1)
O 0.1679 0.4997 0.4751 (multiplicity 1)
O 0.1870 0.2170 0.0815 (multiplicity 1)
O 0.2032 0.8576 0.2913 (multiplicity 1)
O 0.5307 0.5267 0.8180 (multiplicity 1)
O 0.5815 0.6103 0.2150 (multiplicity 1)
O 0.5866 0.0129 0.7943 (multiplicity 1)
O 0.5886 0.9838 0.0028 (multiplicity 1)
O 0.6329 0.3915 0.5975 (multiplicity 1)
O 0.6832 0.4977 0.0148 (multiplicity 1)
O 0.6846 0.7568 0.4073 (multiplicity 1)
O 0.7166 0.1088 0.2134 (multiplicity 1)
F 0.0565 0.2707 0.8784 (multiplicity 1)
F 0.1055 0.7244 0.1034 (multiplicity 1)
F 0.5124 0.8788 0.6028 (multiplicity 1)
F 0.5568 0.2452 0.4068 (multiplicity 1)

Peak list (8 most intense, 10° ≤ 2θ ≤ 90°, most intense first)
- 2θ 27.36, intensity 100, (-1 1 2)
- 2θ 26.26, intensity 77, (1 1 2)
- 2θ 34.66, intensity 35, (1 1 -3)
- 2θ 34.32, intensity 28, (0 2 -1)
- 2θ 35.38, intensity 22, (0 0 5)
- 2θ 33.93, intensity 22, (1 -1 3)
- 2θ 53.47, intensity 21, (2 0 -5)
- 2θ 54.06, intensity 18, (2 2 4)

Simulated XRD peak list
Compound: MgFe10O9F11
Radiation: Cu Kα X-rays
Structure: a crystal structure in the Materials Project, relaxed with GGA+U
Kinematic intensities with the Lorentz-polarization factor, no thermal factor.

Structural model:
Lattice parameters (Å, degrees): 4.8776 15.4275 4.8960 90.00 95.15 90.00
Space group Pm (No. 6)
One atom of each set of equivalent atoms:
Mg 0.0000 0.0000 0.0000 (multiplicity 1)
Fe 0.0475 0.1042 0.5028 (multiplicity 2)
Fe 0.4560 0.2117 0.9630 (multiplicity 2)
Fe 0.4667 0.4030 0.9784 (multiplicity 2)
Fe 0.4827 0.0000 0.0265 (multiplicity 1)
Fe 0.9580 0.2998 0.4738 (multiplicity 2)
Fe 0.9691 0.5000 0.4770 (multiplicity 1)
O 0.2294 0.0000 0.3387 (multiplicity 1)
O 0.2562 0.3060 0.7783 (multiplicity 2)
O 0.2643 0.5000 0.7787 (multiplicity 1)
O 0.2677 0.1053 0.8608 (multiplicity 2)
O 0.6697 0.5000 0.1759 (multiplicity 1)
O 0.6738 0.3024 0.1661 (multiplicity 2)
F 0.1583 0.4017 0.2899 (multiplicity 2)
F 0.1969 0.2136 0.2973 (multiplicity 2)
F 0.7581 0.1012 0.1555 (multiplicity 2)
F 0.7581 0.2054 0.6602 (multiplicity 2)
F 0.7704 0.0000 0.6685 (multiplicity 1)
F 0.7710 0.4015 0.6596 (multiplicity 2)

Peak list (8 most intense, 10° ≤ 2θ ≤ 90°, most intense first)
- 2θ 34.42, intensity 100, (1 5 0)
- 2θ 24.68, intensity 94, (1 0 -1)
- 2θ 27.05, intensity 80, (1 0 1)
- 2θ 50.05, intensity 69, (2 5 -1)
- 2θ 52.69, intensity 44, (2 5 1)
- 2θ 64.83, intensity 23, (0 5 3)
- 2θ 50.61, intensity 20, (2 0 -2)
- 2θ 38.39, intensity 19, (1 5 -1)

Simulated XRD peak list
Compound: MgFe6O11F
Radiation: Cu Kα X-rays
Structure: a crystal structure in the Materials Project, relaxed with GGA+U
Kinematic intensities with the Lorentz-polarization factor, no thermal factor.

Structural model:
Lattice parameters (Å, degrees): 6.8155 2.9278 11.5619 90.00 103.95 90.00
Space group Pm (No. 6)
One atom of each set of equivalent atoms:
Mg 0.0000 0.0000 0.0000 (multiplicity 1)
Fe 0.0110 0.5000 0.5052 (multiplicity 1)
Fe 0.1379 0.0000 0.7975 (multiplicity 1)
Fe 0.4401 0.5000 0.2257 (multiplicity 1)
Fe 0.5111 0.0000 0.5080 (multiplicity 1)
Fe 0.6105 0.5000 0.7931 (multiplicity 1)
Fe 0.8815 0.0000 0.2124 (multiplicity 1)
O 0.0789 0.5000 0.6857 (multiplicity 1)
O 0.1455 0.5000 0.9186 (multiplicity 1)
O 0.1984 0.0000 0.5072 (multiplicity 1)
O 0.4361 0.0000 0.8155 (multiplicity 1)
O 0.4592 0.5000 0.3893 (multiplicity 1)
O 0.5603 0.5000 0.6213 (multiplicity 1)
O 0.5876 0.0000 0.1859 (multiplicity 1)
O 0.8063 0.0000 0.8332 (multiplicity 1)
O 0.8231 0.0000 0.5035 (multiplicity 1)
O 0.8871 0.5000 0.0930 (multiplicity 1)
O 0.9463 0.5000 0.3243 (multiplicity 1)
F 0.2171 0.0000 0.1711 (multiplicity 1)

Peak list (8 most intense, 10° ≤ 2θ ≤ 90°, most intense first)
- 2θ 23.79, intensity 100, (0 0 3)
- 2θ 26.19, intensity 90, (2 0 -1)
- 2θ 35.21, intensity 46, (1 1 1)
- 2θ 35.72, intensity 43, (1 1 -2)
- 2θ 53.03, intensity 41, (3 1 -3)
- 2θ 26.96, intensity 34, (2 0 0)
- 2θ 55.98, intensity 32, (1 1 5)
- 2θ 31.90, intensity 28, (0 0 4)

Simulated XRD peak list
Compound: MgFe12O12F12
Radiation: Cu Kα X-rays
Structure: a crystal structure in the Materials Project, relaxed with GGA+U
Kinematic intensities with the Lorentz-polarization factor, no thermal factor.

Structural model:
Lattice parameters (Å, degrees): 9.8654 3.1180 14.4623 90.00 90.66 90.00
Space group Pm (No. 6)
One atom of each set of equivalent atoms:
Mg 0.0000 0.0000 0.0000 (multiplicity 1)
Fe 0.0347 0.5000 0.6056 (multiplicity 1)
Fe 0.0641 0.5000 0.3226 (multiplicity 1)
Fe 0.0771 0.5000 0.8085 (multiplicity 1)
Fe 0.3194 0.0000 0.4572 (multiplicity 1)
Fe 0.3336 0.0000 0.1260 (multiplicity 1)
Fe 0.3719 0.0000 0.8005 (multiplicity 1)
Fe 0.5238 0.5000 0.2984 (multiplicity 1)
Fe 0.5543 0.5000 0.9697 (multiplicity 1)
Fe 0.5656 0.5000 0.5931 (multiplicity 1)
Fe 0.7998 0.0000 0.1553 (multiplicity 1)
Fe 0.8121 0.0000 0.4539 (multiplicity 1)
Fe 0.8194 0.0000 0.7773 (multiplicity 1)
O 0.1572 0.0000 0.3679 (multiplicity 1)
O 0.2707 0.5000 0.8378 (multiplicity 1)
O 0.4009 0.5000 0.3996 (multiplicity 1)
O 0.4252 0.5000 0.0646 (multiplicity 1)
O 0.4568 0.0000 0.2312 (multiplicity 1)
O 0.4597 0.0000 0.5594 (multiplicity 1)
O 0.5066 0.0000 0.8976 (multiplicity 1)
O 0.7175 0.5000 0.5148 (multiplicity 1)
O 0.8945 0.5000 0.3817 (multiplicity 1)
O 0.9103 0.5000 0.7168 (multiplicity 1)
O 0.9670 0.0000 0.5465 (multiplicity 1)
O 0.9717 0.0000 0.8700 (multiplicity 1)
F 0.1437 0.0000 0.6904 (multiplicity 1)
F 0.1817 0.0000 0.0332 (multiplicity 1)
F 0.2146 0.5000 0.5337 (multiplicity 1)
F 0.2232 0.5000 0.1875 (multiplicity 1)
F 0.4543 0.5000 0.7223 (multiplicity 1)
F 0.6433 0.0000 0.3555 (multiplicity 1)
F 0.6670 0.0000 0.6842 (multiplicity 1)
F 0.6843 0.0000 0.0329 (multiplicity 1)
F 0.6964 0.5000 0.2053 (multiplicity 1)
F 0.7303 0.5000 0.8504 (multiplicity 1)
F 0.9177 0.5000 0.0604 (multiplicity 1)
F 0.9769 0.0000 0.2225 (multiplicity 1)

Peak list (8 most intense, 10° ≤ 2θ ≤ 90°, most intense first)
- 2θ 25.99, intensity 100, (2 0 3)
- 2θ 25.69, intensity 98, (2 0 -3)
- 2θ 34.02, intensity 70, (2 1 0)
- 2θ 34.25, intensity 45, (0 1 3)
- 2θ 38.84, intensity 44, (2 1 -3)
- 2θ 51.20, intensity 35, (2 1 -6)
- 2θ 59.27, intensity 30, (0 2 0)
- 2θ 51.54, intensity 26, (2 1 6)

Simulated XRD peak list
Compound: MgFe8O14F2
Radiation: Cu Kα X-rays
Structure: a crystal structure in the Materials Project, relaxed with GGA+U
Kinematic intensities with the Lorentz-polarization factor, no thermal factor.

Structural model:
Lattice parameters (Å, degrees): 5.6574 6.9829 7.4099 78.44 71.65 75.13
Space group P1 (No. 1)
One atom of each set of equivalent atoms:
Mg 0.0000 0.0000 0.0000 (multiplicity 1)
Fe 0.3311 0.3175 0.6121 (multiplicity 1)
Fe 0.3550 0.3123 0.1246 (multiplicity 1)
Fe 0.4331 0.7837 0.6260 (multiplicity 1)
Fe 0.4418 0.8251 0.1215 (multiplicity 1)
Fe 0.7721 0.1357 0.7271 (multiplicity 1)
Fe 0.8522 0.0658 0.3556 (multiplicity 1)
Fe 0.8944 0.5633 0.3637 (multiplicity 1)
Fe 0.9046 0.5735 0.8593 (multiplicity 1)
O 0.0025 0.2604 0.7965 (multiplicity 1)
O 0.0386 0.4911 0.0994 (multiplicity 1)
O 0.0401 0.7987 0.2614 (multiplicity 1)
O 0.1916 0.0842 0.1644 (multiplicity 1)
O 0.2188 0.3888 0.3797 (multiplicity 1)
O 0.2280 0.5893 0.6743 (multiplicity 1)
O 0.3233 0.8313 0.8794 (multiplicity 1)
O 0.4599 0.2776 0.8596 (multiplicity 1)
O 0.5547 0.0359 0.5797 (multiplicity 1)
O 0.5642 0.7382 0.3517 (multiplicity 1)
O 0.6620 0.1424 0.1720 (multiplicity 1)
O 0.7346 0.3211 0.4735 (multiplicity 1)
O 0.7671 0.6272 0.6287 (multiplicity 1)
O 0.7734 0.8655 0.9205 (multiplicity 1)
F 0.0778 0.9823 0.5554 (multiplicity 1)
F 0.5734 0.5368 0.0598 (multiplicity 1)

Peak list (8 most intense, 10° ≤ 2θ ≤ 90°, most intense first)
- 2θ 28.49, intensity 100, (1 2 0)
- 2θ 34.64, intensity 87, (1 0 -2)
- 2θ 26.46, intensity 56, (1 0 2)
- 2θ 54.47, intensity 25, (2 0 4)
- 2θ 34.14, intensity 20, (2 0 0)
- 2θ 58.55, intensity 17, (-2 2 2)
- 2θ 52.19, intensity 16, (1 2 4)
- 2θ 58.97, intensity 14, (2 4 0)

Simulated XRD peak list
Compound: MgFe4O4F4
Radiation: Cu Kα X-rays
Structure: a crystal structure in the Materials Project, relaxed with GGA+U
Kinematic intensities with the Lorentz-polarization factor, no thermal factor.

Structural model:
Lattice parameters (Å, degrees): 5.1355 5.2892 6.4595 89.14 88.39 78.91
Space group P1 (No. 1)
One atom of each set of equivalent atoms:
Mg 0.0000 0.0000 0.0000 (multiplicity 1)
Fe 0.3323 0.2578 0.7319 (multiplicity 1)
Fe 0.3683 0.6907 0.4611 (multiplicity 1)
Fe 0.7238 0.5633 0.9627 (multiplicity 1)
Fe 0.8324 0.2825 0.4447 (multiplicity 1)
O 0.0821 0.3409 0.9545 (multiplicity 1)
O 0.1416 0.4396 0.5067 (multiplicity 1)
O 0.5798 0.4896 0.6893 (multiplicity 1)
O 0.6064 0.5470 0.2497 (multiplicity 1)
F 0.0811 0.9371 0.2873 (multiplicity 1)
F 0.1590 0.9194 0.7213 (multiplicity 1)
F 0.5714 0.0150 0.5099 (multiplicity 1)
F 0.6355 0.9841 0.9401 (multiplicity 1)

Peak list (8 most intense, 10° ≤ 2θ ≤ 90°, most intense first)
- 2θ 22.10, intensity 100, (1 1 0)
- 2θ 25.77, intensity 72, (1 1 1)
- 2θ 13.71, intensity 68, (0 0 1)
- 2θ 30.20, intensity 62, (1 -1 1)
- 2θ 30.47, intensity 56, (-1 1 1)
- 2θ 38.75, intensity 56, (1 -1 2)
- 2θ 27.63, intensity 49, (0 0 2)
- 2θ 57.03, intensity 47, (0 0 4)